SrMoIO6: calculated powder diffraction line list (Cu Kα), based on a structure optimized by DFT (GGA+U).
No peak broadening, texture or thermal motion is included.

Largest 8 diffraction maxima, in order of rising 2θ, 5 to 70 degrees two-theta:
d (Å)	I/Imax	(hkl)
5.231	83.8	1 0 0
3.619	77.3	1 0 -1
3.537	69.9	1 -1 1
3.489	100.0	1 1 0
2.844	49.9	0 1 1
2.795	43.5	0 1 -2
2.726	45.7	0 2 -1
1.910	67.8	2 -1 2

Cell and atoms:
a = 5.2337 Å, b = 5.4556 Å, c = 5.5959 Å
α = 118.01°, β = 90.07°, γ = 91.48°
Fractional coordinates of all 9 atoms:
Sr (0.0000, 0.0000, 0.0000)
Mo (0.5097, 0.3392, 0.6681)
I (0.4644, 0.6803, 0.3353)
O (0.2544, 0.4182, 0.4002)
O (0.2651, 0.9863, 0.5789)
O (0.2667, 0.6118, 0.0109)
O (0.6732, 0.0569, 0.3509)
O (0.6727, 0.6678, 0.6692)
O (0.6965, 0.3137, 0.9253)